For Na2In4Hg5, a DFT-relaxed cell (GGA-PBE, Alexandria) gives the simulated powder XRD pattern in this record (Cu Kα (weighted mean of Kα1 and Kα2)).
Neutral-atom scattering factors, no anomalous dispersion.

Peak list (10 most intense, 2θ = 10–80°, by angle)
| 2theta | I/Imax | (hkl) |
| --- | --- | --- |
| 20.18 | 47 | 1 4 0 |
| 23.79 | 54 | 1 6 0 |
| 30.98 | 49 | 1 1 1 |
| 31.38 | 58 | 1 2 1 |
| 32.91 | 100 | 1 4 1 |
| 34.37 | 51 | 2 2 0 |
| 35.32 | 98 | 1 6 1 |
| 38.05 | 82 | 1 12 0 |
| 38.48 | 81 | 0 10 1 |
| 46.49 | 66 | 2 6 1 |

Atomic structure:
a = 5.291 Å, b = 31.718 Å, c = 3.464 Å
α = 90.00°, β = 90.00°, γ = 90.00°
Space group Pbam (No. 55)
Inequivalent atoms, fractional coordinates:
Na 0.246 0.196 0.000 x4
In 0.090 0.955 0.000 x4
In 0.240 0.365 0.000 x4
Hg 0.000 0.500 0.500 x2
Hg 0.215 0.603 0.500 x4
Hg 0.247 0.779 0.500 x4



For Na2In7Hg2, a DFT-relaxed cell (GGA-PBE, Alexandria) gives the simulated powder XRD pattern in this record (Cu Kα (weighted mean of Kα1 and Kα2)).
Neutral-atom scattering factors, no anomalous dispersion.

Peak list (10 most intense, 2θ = 10–80°, by angle)
| 2theta | I/Imax | (hkl) |
| --- | --- | --- |
| 18.87 | 18 | 0 2 0 |
| 21.26 | 31 | 0 2 1 |
| 25.80 | 24 | 2 0 0 |
| 31.34 | 26 | 1 3 0 |
| 32.19 | 19 | 2 2 0 |
| 33.07 | 62 | 1 1 -3 |
| 33.33 | 100 | 2 0 2 |
| 35.19 | 49 | 0 2 3 |
| 37.53 | 23 | 1 3 2 |
| 58.94 | 24 | 1 5 -3 |

Atomic structure:
a = 6.904 Å, b = 9.408 Å, c = 9.115 Å
α = 90.00°, β = 92.80°, γ = 90.00°
Space group C2/m (No. 12)
Inequivalent atoms, fractional coordinates:
Na 0.000 0.229 0.000 x4
In 0.000 0.500 0.500 x2
In 0.123 0.191 0.359 x8
In 0.241 0.000 0.779 x4
Hg 0.199 0.500 0.873 x4



For Na6InHg5, a DFT-relaxed cell (GGA-PBE, Alexandria) gives the simulated powder XRD pattern in this record (Cu Kα (weighted mean of Kα1 and Kα2)).
Neutral-atom scattering factors, no anomalous dispersion.

Peak list (10 most intense, 2θ = 10–80°, by angle)
| 2theta | I/Imax | (hkl) |
| --- | --- | --- |
| 17.61 | 23 | 1 0 -1 |
| 22.37 | 79 | 1 0 1 |
| 24.52 | 53 | 1 0 -2 |
| 24.65 | 74 | 0 2 -1 |
| 32.69 | 24 | 2 0 -1 |
| 33.52 | 100 | 1 2 0 |
| 34.15 | 61 | 0 0 3 |
| 35.04 | 79 | 1 2 -3 |
| 35.66 | 24 | 2 0 -2 |
| 42.56 | 44 | 0 2 -4 |

Atomic structure:
a = 5.502 Å, b = 7.225 Å, c = 8.900 Å
α = 113.93°, β = 103.20°, γ = 90.04°
Space group P-1 (No. 2)
Inequivalent atoms, fractional coordinates:
Na 0.001 0.255 0.002 x2
Na 0.262 0.083 0.660 x2
Na 0.263 0.576 0.658 x2
In 0.500 0.000 0.000 x1
Hg 0.250 0.666 0.328 x2
Hg 0.251 0.158 0.320 x2
Hg 0.500 0.500 0.000 x1



Question: What is the formula in the second record?
Answer: Na2In7Hg2



Repeat the third record exactly.
For Na6InHg5, a DFT-relaxed cell (GGA-PBE, Alexandria) gives the simulated powder XRD pattern in this record (Cu Kα (weighted mean of Kα1 and Kα2)).
Neutral-atom scattering factors, no anomalous dispersion.

Peak list (10 most intense, 2θ = 10–80°, by angle)
| 2theta | I/Imax | (hkl) |
| --- | --- | --- |
| 17.61 | 23 | 1 0 -1 |
| 22.37 | 79 | 1 0 1 |
| 24.52 | 53 | 1 0 -2 |
| 24.65 | 74 | 0 2 -1 |
| 32.69 | 24 | 2 0 -1 |
| 33.52 | 100 | 1 2 0 |
| 34.15 | 61 | 0 0 3 |
| 35.04 | 79 | 1 2 -3 |
| 35.66 | 24 | 2 0 -2 |
| 42.56 | 44 | 0 2 -4 |

Atomic structure:
a = 5.502 Å, b = 7.225 Å, c = 8.900 Å
α = 113.93°, β = 103.20°, γ = 90.04°
Space group P-1 (No. 2)
Inequivalent atoms, fractional coordinates:
Na 0.001 0.255 0.002 x2
Na 0.262 0.083 0.660 x2
Na 0.263 0.576 0.658 x2
In 0.500 0.000 0.000 x1
Hg 0.250 0.666 0.328 x2
Hg 0.251 0.158 0.320 x2
Hg 0.500 0.500 0.000 x1